For La2Pm2Sm5, a DFT-relaxed cell (PBE, Alexandria) gives the calculated X-ray diffraction stick pattern in this record (a wavelength of 1.5418 Å).

Largest 10 diffraction maxima, in order of rising 2θ, 2θ from 10° to 90°:
hkl 3 1 1, 26.13 deg, d 3.410, I = 38
hkl 5 1 -1, 29.94 deg, d 2.984, I = 77
hkl 2 2 -2, 30.29 deg, d 2.951, I = 78
hkl 4 0 -4, 30.47 deg, d 2.934, I = 100
hkl 1 1 3, 30.71 deg, d 2.911, I = 69
hkl 0 2 2, 30.89 deg, d 2.894, I = 30
hkl 2 0 3, 31.81 deg, d 2.813, I = 27
hkl 4 2 -2, 34.21 deg, d 2.621, I = 27
hkl 3 3 1, 46.10 deg, d 1.969, I = 37
hkl 6 2 -6, 54.07 deg, d 1.696, I = 24

Atomic structure:
```
data_La2Pm2Sm5
_cell_length_a 16.9210
_cell_length_b 6.8282
_cell_length_c 12.2590
_cell_angle_alpha 90.00
_cell_angle_beta 117.08
_cell_angle_gamma 90.00
_symmetry_space_group_name_H-M 'C 1 2 1'
_symmetry_Int_Tables_number 5
_symmetry_space_group_name_Hall 'C 2y'
loop_
_atom_site_label
_atom_site_type_symbol
_atom_site_fract_x
_atom_site_fract_y
_atom_site_fract_z
La1 La 0.0000 0.0000 0.0000
La2 La 0.0000 0.4573 0.5000
La3 La 0.2370 0.4050 0.7341
Pm1 Pm 0.1140 0.4568 0.1172
Pm2 Pm 0.1377 0.9252 0.6412
Sm1 Sm 0.0503 0.7363 0.8127
Sm2 Sm 0.0620 0.2905 0.8031
Sm3 Sm 0.1109 0.0854 0.3610
Sm4 Sm 0.1768 0.5916 0.4281
Sm5 Sm 0.2299 0.0642 0.9839
```

For La4Pm2Sm, a DFT-relaxed cell (PBE, Alexandria) gives the calculated X-ray diffraction stick pattern in this record (a wavelength of 1.5418 Å).

Largest 10 diffraction maxima, in order of rising 2θ, 2θ from 10° to 90°:
hkl 2 0 0, 29.58 deg, d 3.020, I = 100
hkl 2 1 3, 34.29 deg, d 2.615, I = 51
hkl 3 3 2, 49.26 deg, d 1.850, I = 30
hkl 1 4 5, 49.34 deg, d 1.847, I = 6
hkl 4 1 3, 58.51 deg, d 1.578, I = 33
hkl 3 4 5, 58.59 deg, d 1.575, I = 11
hkl 0 2 6, 61.39 deg, d 1.510, I = 6
hkl 5 -2 1, 79.88 deg, d 1.201, I = 7
hkl 5 3 2, 79.98 deg, d 1.200, I = 7
hkl 5 4 5, 82.50 deg, d 1.169, I = 9

Atomic structure:
```
data_La4Pm2Sm
_cell_length_a 6.4077
_cell_length_b 9.7763
_cell_length_c 9.7770
_cell_angle_alpha 60.08
_cell_angle_beta 71.01
_cell_angle_gamma 83.84
_symmetry_space_group_name_H-M 'P 1'
_symmetry_Int_Tables_number 1
_symmetry_space_group_name_Hall 'P 1'
loop_
_atom_site_label
_atom_site_type_symbol
_atom_site_fract_x
_atom_site_fract_y
_atom_site_fract_z
La1 La 0.0000 0.0000 0.0000
La2 La 0.0000 0.2821 0.5727
La3 La 0.4972 0.3539 0.2183
La4 La 0.4969 0.6416 0.7901
La5 La 0.4968 0.9257 0.3608
La6 La 0.4984 0.4959 0.5053
La7 La 0.9970 0.4289 0.8579
La8 La 0.9988 0.7144 0.4288
Pm1 Pm 0.4988 0.0674 0.6480
Pm2 Pm 0.5018 0.7833 0.0731
Pm3 Pm 0.9963 0.1426 0.2872
Pm4 Pm 0.9977 0.5716 0.1433
Sm1 Sm 0.4984 0.2095 0.9328
Sm2 Sm 0.9971 0.8571 0.7155
```